Theoretical PXRD pattern
Compound: Ba5Sr3
Radiation: Cu Kα (weighted mean of Kα1 and Kα2)
Structure: the PBE geometry in Alexandria
Kinematic intensities with the Lorentz-polarization factor, no thermal factor.

Atomic structure:
Cell lengths 4.9524, 6.9296, 13.8701 Å; angles 90.00, 90.00, 90.00 degrees
Atoms (fractional coordinates):
Ba: 0.0000 0.0000 0.0000
Ba: 0.0000 0.0000 0.4926
Ba: 0.0000 0.5000 0.7472
Ba: 0.5000 0.0000 0.7468
Ba: 0.5000 0.5000 0.4900
Sr: 0.0000 0.5000 0.2412
Sr: 0.5000 0.0000 0.2463
Sr: 0.5000 0.5000 0.9981

Most intense lines, 2θ = 10–90°, sorted by position:
d [Å]  2θ (°)  I/Imax
3.484  25.57  100
3.466  25.70  49
2.451  36.67  19
2.015  44.99  21
2.005  45.24  42
1.551  59.61  18